Calculated X-ray powder pattern of Cd3InBr7 for a wavelength of 1.5418 Å, from a cell relaxed with GGA-PBE.
Neutral-atom scattering factors, no anomalous dispersion.

Crystal structure
abc: 12.025 9.465 7.003
angles: 90.00 92.06 90.00
Space group C2/m (No. 12)
Symmetry-distinct sites (fractional):
Cd  0.000  0.000  0.000 (multiplicity 2)
Cd  0.000  0.202  0.500 (multiplicity 4)
In  0.000  0.500  0.000 (multiplicity 2)
Br  0.000  0.500  0.500 (multiplicity 2)
Br  0.126  0.211  0.190 (multiplicity 8)
Br  0.139  0.000  0.681 (multiplicity 4)

Top 6 peaks for 2θ = 10–80°, by angle:
(hkl), two_theta, d/Å, I (rel.)
2 0 0, 14.7, 6.008, 96.4
2 2 1, 27.4, 3.253, 100.0
2 0 -2, 29.1, 3.072, 60.6
0 4 0, 38.1, 2.364, 34.0
4 0 -2, 38.8, 2.321, 46.3
0 2 3, 43.2, 2.092, 28.0



Calculated X-ray powder pattern of La4CdIn12 for a wavelength of 1.5418 Å, from a cell relaxed with GGA-PBE.
Neutral-atom scattering factors, no anomalous dispersion.

Crystal structure
abc: 9.760 9.760 9.760
angles: 90.00 90.00 90.00
Space group Im-3m (No. 229)
Symmetry-distinct sites (fractional):
La  0.250  0.250  0.250 (multiplicity 8)
Cd  0.000  0.000  0.000 (multiplicity 2)
In  0.000  0.000  0.300 (multiplicity 12)
In  0.000  0.250  0.500 (multiplicity 12)

Top 6 peaks for 2θ = 10–80°, by angle:
(hkl), two_theta, d/Å, I (rel.)
2 2 2, 31.8, 2.817, 100.0
3 2 1, 34.4, 2.608, 12.7
4 0 0, 36.8, 2.440, 62.7
3 3 2, 43.5, 2.081, 12.3
4 4 0, 53.1, 1.725, 36.0
6 2 2, 63.2, 1.471, 28.9



Calculated X-ray powder pattern of Pa4Al12Au for a wavelength of 1.5418 Å, from a cell relaxed with GGA-PBE.
Neutral-atom scattering factors, no anomalous dispersion.

Crystal structure
abc: 8.706 8.706 8.706
angles: 90.00 90.00 90.00
Space group Im-3m (No. 229)
Symmetry-distinct sites (fractional):
Pa  0.250  0.250  0.250 (multiplicity 8)
Al  0.000  0.000  0.303 (multiplicity 12)
Al  0.000  0.250  0.500 (multiplicity 12)
Au  0.000  0.000  0.000 (multiplicity 2)

Top 6 peaks for 2θ = 10–80°, by angle:
(hkl), two_theta, d/Å, I (rel.)
2 0 0, 20.4, 4.353, 37.8
2 2 0, 29.0, 3.078, 100.0
2 2 2, 35.7, 2.513, 37.3
4 0 0, 41.5, 2.176, 36.1
4 2 2, 51.4, 1.777, 39.5
4 4 0, 60.1, 1.539, 23.1



Calculated X-ray powder pattern of HfBe17Ru for a wavelength of 1.5418 Å, from a cell relaxed with GGA-PBE.
Neutral-atom scattering factors, no anomalous dispersion.

Crystal structure
abc: 7.3682 7.3682 10.7039
angles: 90.00 90.00 120.00
Space group R3m (No. 160, hexagonal axes)
Symmetry-distinct sites (fractional):
Hf  0.0000  0.0000  0.0000 (multiplicity 3)
Be  0.0000  0.0000  0.5570 (multiplicity 3)
Be  0.0000  0.0000  0.7547 (multiplicity 3)
Be  0.0397  0.3662  0.3262 (multiplicity 18)
Be  0.1713  0.3427  0.1430 (multiplicity 9)
Be  0.1717  0.3434  0.4954 (multiplicity 9)
Be  0.1735  0.3470  0.8386 (multiplicity 9)
Ru  0.0000  0.0000  0.3256 (multiplicity 3)

Top 6 peaks for 2θ = 10–80°, by angle:
(hkl), two_theta, d/Å, I (rel.)
1 0 1, 16.2, 5.481, 78.4
0 1 2, 21.7, 4.101, 36.8
1 1 0, 24.2, 3.684, 100.0
1 1 3, 35.0, 2.563, 91.2
3 0 0, 42.5, 2.127, 32.2
3 0 3, 49.9, 1.827, 45.3



Calculated X-ray powder pattern of Nd2Sm2Te3 for a wavelength of 1.5418 Å, from a cell relaxed with GGA-PBE.
Neutral-atom scattering factors, no anomalous dispersion.

Crystal structure
abc: 9.381 9.381 9.381
angles: 90.00 90.00 90.00
Space group I2_13 (No. 199)
Symmetry-distinct sites (fractional):
Nd  0.073  0.073  0.073 (multiplicity 8)
Sm  0.179  0.321  0.679 (multiplicity 8)
Te  0.000  0.250  0.378 (multiplicity 12)

Top 6 peaks for 2θ = 10–80°, by angle:
(hkl), two_theta, d/Å, I (rel.)
3 1 0, 30.1, 2.967, 100.0
3 2 1, 35.8, 2.507, 67.2
4 2 2, 47.5, 1.915, 17.3
4 1 3, 49.5, 1.840, 22.5
6 1 1, 60.9, 1.522, 25.6
5 5 2, 74.3, 1.277, 15.1



Calculated X-ray powder pattern of Cs3CeBi2Te6 for a wavelength of 1.5418 Å, from a cell relaxed with GGA-PBE.
Neutral-atom scattering factors, no anomalous dispersion.

Crystal structure
abc: 8.141 14.100 9.313
angles: 90.00 106.95 90.00
Space group C2/m (No. 12)
Symmetry-distinct sites (fractional):
Cs  0.000  0.000  0.000 (multiplicity 2)
Cs  0.000  0.333  0.000 (multiplicity 4)
Ce  0.000  0.500  0.500 (multiplicity 2)
Bi  0.000  0.167  0.500 (multiplicity 4)
Te  0.227  0.000  0.693 (multiplicity 4)
Te  0.233  0.332  0.693 (multiplicity 8)

Top 6 peaks for 2θ = 10–80°, by angle:
(hkl), two_theta, d/Å, I (rel.)
1 3 1, 25.6, 3.476, 100.0
1 3 2, 32.1, 2.785, 11.2
2 0 2, 34.7, 2.582, 33.1
0 6 0, 38.3, 2.350, 38.4
4 0 0, 46.7, 1.947, 19.8
4 6 0, 61.9, 1.499, 17.0



Calculated X-ray powder pattern of CaSnO6 for a wavelength of 1.5418 Å, from a cell relaxed with GGA-PBE.
Neutral-atom scattering factors, no anomalous dispersion.

Crystal structure
abc: 8.785 8.785 8.785
angles: 90.00 90.00 90.00
Space group Fm-3m (No. 225)
Symmetry-distinct sites (fractional):
Ca  0.000  0.000  0.000 (multiplicity 4)
Sn  0.000  0.000  0.500 (multiplicity 4)
O  0.000  0.000  0.265 (multiplicity 24)

Top 6 peaks for 2θ = 10–80°, by angle:
(hkl), two_theta, d/Å, I (rel.)
1 1 1, 17.5, 5.072, 34.0
2 0 0, 20.2, 4.393, 100.0
2 2 0, 28.7, 3.106, 35.0
4 0 0, 41.1, 2.196, 25.8
4 2 0, 46.2, 1.964, 41.4
6 0 0, 63.5, 1.464, 19.0



Calculated X-ray powder pattern of Cs2KAcI6 for a wavelength of 1.5418 Å, from a cell relaxed with GGA-PBE.
Neutral-atom scattering factors, no anomalous dispersion.

Crystal structure
abc: 9.016 9.534 15.541
angles: 90.00 124.00 90.00
Space group P2_1/c (No. 14)
Symmetry-distinct sites (fractional):
Cs  0.216  0.075  0.245 (multiplicity 4)
K  0.000  0.000  0.500 (multiplicity 2)
Ac  0.500  0.000  0.000 (multiplicity 2)
I  0.158  0.190  0.949 (multiplicity 4)
I  0.256  0.716  0.941 (multiplicity 4)
I  0.370  0.035  0.758 (multiplicity 4)

Top 6 peaks for 2θ = 10–80°, by angle:
(hkl), two_theta, d/Å, I (rel.)
0 1 1, 11.5, 7.664, 59.3
2 1 -1, 22.7, 3.912, 79.4
1 0 -4, 23.2, 3.836, 100.0
2 2 -2, 27.2, 3.275, 89.4
0 0 4, 27.7, 3.221, 54.9
1 2 4, 40.8, 2.209, 48.5



Calculated X-ray powder pattern of MnNb2Se4S2 for a wavelength of 1.5418 Å, from a cell relaxed with GGA-PBE.
Neutral-atom scattering factors, no anomalous dispersion.

Crystal structure
abc: 3.4366 3.4366 20.4561
angles: 90.00 90.00 120.00
Space group P3m1 (No. 156)
Symmetry-distinct sites (fractional):
Mn  0.0000  0.0000  0.0000 (multiplicity 1)
Nb  0.0000  0.0000  0.6594 (multiplicity 1)
Nb  0.6667  0.3333  0.3147 (multiplicity 1)
Se  0.0000  0.0000  0.2317 (multiplicity 1)
Se  0.0000  0.0000  0.3979 (multiplicity 1)
Se  0.6667  0.3333  0.5763 (multiplicity 1)
Se  0.6667  0.3333  0.7424 (multiplicity 1)
S  0.6667  0.3333  0.0658 (multiplicity 1)
S  0.6667  0.3333  0.9341 (multiplicity 1)

Top 6 peaks for 2θ = 10–80°, by angle:
(hkl), two_theta, d/Å, I (rel.)
0 0 3, 13.0, 6.819, 100.0
1 0 0, 30.0, 2.976, 54.5
1 0 4, 34.9, 2.572, 52.1
0 1 5, 37.4, 2.407, 71.7
1 0 7, 43.4, 2.085, 46.6
1 1 0, 53.3, 1.718, 40.9



Calculated X-ray powder pattern of Ho6Tm2Se3 for a wavelength of 1.5418 Å, from a cell relaxed with GGA-PBE.
Neutral-atom scattering factors, no anomalous dispersion.

Crystal structure
abc: 3.7683 3.7683 74.9380
angles: 90.00 90.00 120.00
Space group R-3m (No. 166, hexagonal axes)
Symmetry-distinct sites (fractional):
Ho  0.0000  0.0000  0.0740 (multiplicity 6)
Ho  0.0000  0.0000  0.1851 (multiplicity 6)
Ho  0.0000  0.0000  0.3579 (multiplicity 6)
Tm  0.0000  0.0000  0.4443 (multiplicity 6)
Se  0.0000  0.0000  0.0000 (multiplicity 3)
Se  0.0000  0.0000  0.2847 (multiplicity 6)

Top 6 peaks for 2θ = 10–80°, by angle:
(hkl), two_theta, d/Å, I (rel.)
0 1 8, 29.0, 3.082, 33.4
0 1 11, 30.4, 2.943, 100.0
0 1 14, 32.1, 2.786, 27.5
1 0 19, 35.7, 2.514, 34.2
1 1 0, 48.3, 1.884, 47.3
1 1 27, 59.3, 1.559, 19.8



Calculated X-ray powder pattern of CePm6Tl3 for a wavelength of 1.5418 Å, from a cell relaxed with GGA-PBE.
Neutral-atom scattering factors, no anomalous dispersion.

Crystal structure
abc: 9.589 5.539 12.142
angles: 90.00 110.60 90.00
Space group P2_1/m (No. 11)
Symmetry-distinct sites (fractional):
Ce  0.056  0.250  0.436 (multiplicity 2)
Pm  0.091  0.750  0.879 (multiplicity 2)
Pm  0.138  0.750  0.158 (multiplicity 2)
Pm  0.150  0.250  0.706 (multiplicity 2)
Pm  0.252  0.750  0.493 (multiplicity 2)
Pm  0.355  0.250  0.323 (multiplicity 2)
Pm  0.469  0.750  0.089 (multiplicity 2)
Tl  0.229  0.250  0.029 (multiplicity 2)
Tl  0.359  0.750  0.782 (multiplicity 2)
Tl  0.451  0.250  0.617 (multiplicity 2)

Top 6 peaks for 2θ = 10–80°, by angle:
(hkl), two_theta, d/Å, I (rel.)
2 0 -4, 30.8, 2.907, 40.5
0 2 0, 32.3, 2.770, 58.4
3 1 -1, 32.4, 2.759, 100.0
1 1 3, 33.0, 2.718, 92.6
2 1 -4, 34.9, 2.574, 29.4
2 2 -4, 45.2, 2.005, 28.8



Calculated X-ray powder pattern of Yb4SmS5 for a wavelength of 1.5418 Å, from a cell relaxed with GGA-PBE.
Neutral-atom scattering factors, no anomalous dispersion.

Crystal structure
abc: 3.9707 3.9707 48.6018
angles: 90.00 90.00 120.00
Space group R-3m (No. 166, hexagonal axes)
Symmetry-distinct sites (fractional):
Yb  0.0000  0.0000  0.0998 (multiplicity 6)
Yb  0.0000  0.0000  0.3000 (multiplicity 6)
Sm  0.0000  0.0000  0.5000 (multiplicity 3)
S  0.0000  0.0000  0.0000 (multiplicity 3)
S  0.0000  0.0000  0.2010 (multiplicity 6)
S  0.0000  0.0000  0.4000 (multiplicity 6)

Top 6 peaks for 2θ = 10–80°, by angle:
(hkl), two_theta, d/Å, I (rel.)
0 1 5, 27.5, 3.241, 84.6
1 0 10, 31.9, 2.807, 100.0
1 1 0, 45.7, 1.985, 72.6
2 0 5, 54.2, 1.693, 41.8
0 2 10, 56.8, 1.621, 25.2
2 1 10, 75.8, 1.255, 32.4



Copy entry 12 word for word.
Calculated X-ray powder pattern of Yb4SmS5 for a wavelength of 1.5418 Å, from a cell relaxed with GGA-PBE.
Neutral-atom scattering factors, no anomalous dispersion.

Crystal structure
abc: 3.9707 3.9707 48.6018
angles: 90.00 90.00 120.00
Space group R-3m (No. 166, hexagonal axes)
Symmetry-distinct sites (fractional):
Yb  0.0000  0.0000  0.0998 (multiplicity 6)
Yb  0.0000  0.0000  0.3000 (multiplicity 6)
Sm  0.0000  0.0000  0.5000 (multiplicity 3)
S  0.0000  0.0000  0.0000 (multiplicity 3)
S  0.0000  0.0000  0.2010 (multiplicity 6)
S  0.0000  0.0000  0.4000 (multiplicity 6)

Top 6 peaks for 2θ = 10–80°, by angle:
(hkl), two_theta, d/Å, I (rel.)
0 1 5, 27.5, 3.241, 84.6
1 0 10, 31.9, 2.807, 100.0
1 1 0, 45.7, 1.985, 72.6
2 0 5, 54.2, 1.693, 41.8
0 2 10, 56.8, 1.621, 25.2
2 1 10, 75.8, 1.255, 32.4